For Cu6GeAu2, a crystal structure in Alexandria, relaxed with PBE gives the simulated powder diffractogram in this record (copper Kα).
No peak broadening, texture or thermal motion is included.

Structure:
```
Cu6GeAu2
1.0
6.332 0.000 0.000
0.000 2.761 0.000
-1.590 0.000 7.307
Cu Ge Au
6 1 2
Direct
0.005 0.000 0.181
0.311 0.500 0.408
0.381 0.000 0.716
0.619 0.000 0.284
0.689 0.500 0.592
0.995 0.000 0.819
0.000 0.000 0.500
0.300 0.500 0.044
0.700 0.500 0.956
```

Peak list (10 most intense, 2θ from 10° to 90°, sorted by position)
| d/Å | 2θ/deg | Rel. int. |
| --- | --- | --- |
| 7.307 | 12.1 | 55 |
| 2.655 | 33.8 | 29 |
| 2.583 | 34.7 | 21 |
| 2.522 | 35.6 | 16 |
| 2.322 | 38.8 | 18 |
| 2.203 | 41.0 | 38 |
| 2.148 | 42.1 | 45 |
| 2.118 | 42.7 | 42 |
| 2.061 | 43.9 | 100 |
| 1.833 | 49.7 | 20 |